[1]
Structure and simulated X-ray diffraction stick pattern of SmGd2Cu4Sn4 (DFT lattice parameters and positions (PBE); a wavelength of 1.5418 Å).
Intensities are scaled so that the largest is 100.

Atomic structure:
Cell: 8.5067 8.5067 8.5067 Å, 149.33 131.46 58.52°
Positions (direct):
Sm (0.0000, 0.0000, 0.0000)
Gd (0.3681, 0.8681, 0.5000)
Gd (0.6319, 0.1319, 0.5000)
Cu (0.0167, 0.3309, 0.6858)
Cu (0.3548, 0.6691, 0.6858)
Cu (0.6452, 0.3309, 0.3142)
Cu (0.9833, 0.6691, 0.3142)
Sn (0.2173, 0.2173, 0.0000)
Sn (0.2993, 0.5000, 0.7993)
Sn (0.7007, 0.5000, 0.2007)
Sn (0.7827, 0.7827, 0.0000)

Top 8 peaks for 2θ from 10° to 80°, by angle:
2.733 Å, 2θ = 32.77°, rel. 26
2.714 Å, 2θ = 33.00°, rel. 95
2.649 Å, 2θ = 33.83°, rel. 100
2.474 Å, 2θ = 36.31°, rel. 20
2.250 Å, 2θ = 40.08°, rel. 43
2.109 Å, 2θ = 42.89°, rel. 23
2.021 Å, 2θ = 44.84°, rel. 23
1.381 Å, 2θ = 67.86°, rel. 20

---

[2]
Structure and simulated X-ray diffraction stick pattern of CuPt2S4 (DFT lattice parameters and positions (PBE); a wavelength of 1.5418 Å).
Intensities are scaled so that the largest is 100.

Atomic structure:
Cell: 6.2651 6.9796 6.4445 Å, 90.00 115.30 90.00°
Positions (direct):
Cu (0.1594, 0.0000, 0.3570)
Cu (0.8406, 0.0000, 0.6430)
Pt (0.0000, 0.5000, 0.0000)
Pt (0.5000, 0.2483, 0.0000)
Pt (0.5000, 0.5000, 0.5000)
Pt (0.5000, 0.7517, 0.0000)
S (0.2380, 0.5000, 0.7832)
S (0.2472, 0.0000, 0.7548)
S (0.2839, 0.2682, 0.2303)
S (0.2839, 0.7318, 0.2303)
S (0.7161, 0.2682, 0.7697)
S (0.7161, 0.7318, 0.7697)
S (0.7528, 0.0000, 0.2452)
S (0.7620, 0.5000, 0.2168)

Top 8 peaks for 2θ from 10° to 80°, by angle:
5.826 Å, 2θ = 15.21°, rel. 60
4.254 Å, 2θ = 20.88°, rel. 69
3.056 Å, 2θ = 29.22°, rel. 61
2.926 Å, 2θ = 30.56°, rel. 64
2.685 Å, 2θ = 33.38°, rel. 92
2.435 Å, 2θ = 36.91°, rel. 100
1.824 Å, 2θ = 50.02°, rel. 65
1.783 Å, 2θ = 51.22°, rel. 58

---

[3]
Structure and simulated X-ray diffraction stick pattern of Lu4FeAsN2 (DFT lattice parameters and positions (PBE); a wavelength of 1.5418 Å).
Intensities are scaled so that the largest is 100.

Atomic structure:
Cell: 3.3890 3.3890 13.6070 Å, 90.00 90.00 120.00°
Positions (direct):
Lu (0.0000, 0.0000, 0.1448)
Lu (0.0000, 0.0000, 0.8552)
Lu (0.3333, 0.6667, 0.3425)
Lu (0.3333, 0.6667, 0.6575)
Fe (0.3333, 0.6667, 0.0000)
As (0.0000, 0.0000, 0.5000)
N (0.6667, 0.3333, 0.2569)
N (0.6667, 0.3333, 0.7431)

Top 8 peaks for 2θ from 10° to 80°, by angle:
3.402 Å, 2θ = 26.20°, rel. 12
2.935 Å, 2θ = 30.46°, rel. 25
2.869 Å, 2θ = 31.17°, rel. 17
2.464 Å, 2θ = 36.46°, rel. 100
2.268 Å, 2θ = 39.75°, rel. 13
1.694 Å, 2θ = 54.12°, rel. 25
1.396 Å, 2θ = 67.03°, rel. 17
1.357 Å, 2θ = 69.21°, rel. 15

---

[4]
Structure and simulated X-ray diffraction stick pattern of YPaIr2 (DFT lattice parameters and positions (PBE); a wavelength of 1.5418 Å).
Intensities are scaled so that the largest is 100.

Atomic structure:
Cell: 8.5549 5.6798 7.1309 Å, 90.00 90.68 90.00°
Positions (direct):
Y (0.1200, 0.1467, 0.1796)
Y (0.1200, 0.3533, 0.6796)
Y (0.8800, 0.6467, 0.3204)
Y (0.8800, 0.8533, 0.8204)
Pa (0.3706, 0.6565, 0.3221)
Pa (0.3706, 0.8435, 0.8221)
Pa (0.6294, 0.1565, 0.1779)
Pa (0.6294, 0.3435, 0.6779)
Ir (0.1417, 0.6510, 0.0473)
Ir (0.1417, 0.8490, 0.5473)
Ir (0.3897, 0.1855, 0.4426)
Ir (0.3897, 0.3145, 0.9426)
Ir (0.6103, 0.6855, 0.0574)
Ir (0.6103, 0.8145, 0.5574)
Ir (0.8583, 0.1510, 0.4527)
Ir (0.8583, 0.3490, 0.9527)

Top 8 peaks for 2θ from 10° to 80°, by angle:
2.755 Å, 2θ = 32.50°, rel. 85
2.723 Å, 2θ = 32.90°, rel. 85
2.638 Å, 2θ = 33.98°, rel. 92
2.479 Å, 2θ = 36.24°, rel. 95
2.455 Å, 2θ = 36.60°, rel. 100
2.250 Å, 2θ = 40.08°, rel. 81
2.241 Å, 2θ = 40.24°, rel. 89
2.139 Å, 2θ = 42.26°, rel. 83

---

[5]
Structure and simulated X-ray diffraction stick pattern of Dy2CuAg3 (DFT lattice parameters and positions (PBE); a wavelength of 1.5418 Å).
Intensities are scaled so that the largest is 100.

Atomic structure:
Cell: 3.6894 3.6894 9.1531 Å, 90.00 90.00 90.00°
Positions (direct):
Dy (0.0000, 0.0000, 0.0000)
Dy (0.5000, 0.5000, 0.4853)
Cu (0.0000, 0.0000, 0.3278)
Ag (0.0000, 0.0000, 0.6600)
Ag (0.5000, 0.5000, 0.1688)
Ag (0.5000, 0.5000, 0.8227)

Top 8 peaks for 2θ from 10° to 80°, by angle:
3.422 Å, 2θ = 26.04°, rel. 9
2.609 Å, 2θ = 34.38°, rel. 68
2.351 Å, 2θ = 38.28°, rel. 100
1.845 Å, 2θ = 49.41°, rel. 24
1.526 Å, 2θ = 60.71°, rel. 6
1.451 Å, 2θ = 64.17°, rel. 42
1.317 Å, 2θ = 71.66°, rel. 14
1.304 Å, 2θ = 72.46°, rel. 7

---

[6]
Structure and simulated X-ray diffraction stick pattern of Y3Zn4B4C3 (DFT lattice parameters and positions (PBE); a wavelength of 1.5418 Å).
Intensities are scaled so that the largest is 100.

Atomic structure:
Cell: 14.0163 14.0163 14.0163 Å, 165.11 165.11 21.12°
Positions (direct):
Y (0.0000, 0.0000, 0.0000)
Y (0.2960, 0.2960, 0.0000)
Y (0.7040, 0.7040, 0.0000)
Zn (0.1021, 0.6021, 0.5000)
Zn (0.3979, 0.8979, 0.5000)
Zn (0.6021, 0.1021, 0.5000)
Zn (0.8979, 0.3979, 0.5000)
B (0.1561, 0.1561, 0.0000)
B (0.4468, 0.4468, 0.0000)
B (0.5532, 0.5532, 0.0000)
B (0.8439, 0.8439, 0.0000)
C (0.2093, 0.2093, 0.0000)
C (0.5000, 0.5000, 0.0000)
C (0.7907, 0.7907, 0.0000)

Top 8 peaks for 2θ from 10° to 80°, by angle:
3.378 Å, 2θ = 26.39°, rel. 44
2.756 Å, 2θ = 32.49°, rel. 63
2.670 Å, 2θ = 33.57°, rel. 47
2.407 Å, 2θ = 37.37°, rel. 100
2.242 Å, 2θ = 40.23°, rel. 59
1.816 Å, 2θ = 50.23°, rel. 45
1.562 Å, 2θ = 59.13°, rel. 34
1.516 Å, 2θ = 61.11°, rel. 39

---

[7]
Structure and simulated X-ray diffraction stick pattern of Zr4Sc2Sb3C3 (DFT lattice parameters and positions (PBE); a wavelength of 1.5418 Å).
Intensities are scaled so that the largest is 100.

Atomic structure:
Cell: 5.9328 5.9328 14.6369 Å, 101.69 101.69 59.98°
Positions (direct):
Zr (0.0255, 0.1983, 0.0858)
Zr (0.1410, 0.3049, 0.4142)
Zr (0.1983, 0.0255, 0.5858)
Zr (0.3049, 0.1410, 0.9142)
Zr (0.6951, 0.8590, 0.0858)
Zr (0.8017, 0.9745, 0.4142)
Zr (0.8590, 0.6951, 0.5858)
Zr (0.9745, 0.8017, 0.9142)
Sc (0.3648, 0.5288, 0.0854)
Sc (0.4712, 0.6352, 0.4146)
Sc (0.5288, 0.3648, 0.5854)
Sc (0.6352, 0.4712, 0.9146)
Sb (0.0862, 0.9138, 0.2500)
Sb (0.2560, 0.4155, 0.7496)
Sb (0.4155, 0.2560, 0.2496)
Sb (0.5845, 0.7440, 0.7504)
Sb (0.7440, 0.5845, 0.2504)
Sb (0.9138, 0.0862, 0.7500)
C (0.0000, 0.5000, 0.0000)
C (0.1624, 0.6687, 0.5000)
C (0.3313, 0.8376, 0.0000)
C (0.5000, 0.0000, 0.5000)
C (0.6687, 0.1624, 0.0000)
C (0.8376, 0.3313, 0.5000)

Top 8 peaks for 2θ from 10° to 80°, by angle:
2.966 Å, 2θ = 30.13°, rel. 22
2.515 Å, 2θ = 35.70°, rel. 100
2.372 Å, 2θ = 37.94°, rel. 18
1.852 Å, 2θ = 49.19°, rel. 15
1.712 Å, 2θ = 53.51°, rel. 21
1.415 Å, 2θ = 66.00°, rel. 16
1.395 Å, 2θ = 67.08°, rel. 15
1.388 Å, 2θ = 67.46°, rel. 18

---

[8]
Structure and simulated X-ray diffraction stick pattern of Nd2Zn6Ge3 (DFT lattice parameters and positions (PBE); a wavelength of 1.5418 Å).
Intensities are scaled so that the largest is 100.

Atomic structure:
Cell: 7.6590 7.6590 4.1066 Å, 90.00 90.00 120.00°
Positions (direct):
Nd (0.0000, 0.0000, 0.0000)
Nd (0.3333, 0.6667, 0.0000)
Zn (0.3769, 0.3330, 0.5000)
Zn (0.4765, 0.1456, 0.0000)
Zn (0.6670, 0.0439, 0.5000)
Zn (0.6691, 0.5235, 0.0000)
Zn (0.8544, 0.3309, 0.0000)
Zn (0.9561, 0.6231, 0.5000)
Ge (0.0472, 0.3321, 0.5000)
Ge (0.2849, 0.9528, 0.5000)
Ge (0.6679, 0.7151, 0.5000)

Top 8 peaks for 2θ from 10° to 80°, by angle:
2.801 Å, 2θ = 31.95°, rel. 100
2.507 Å, 2θ = 35.82°, rel. 21
2.211 Å, 2θ = 40.81°, rel. 33
2.140 Å, 2θ = 42.23°, rel. 52
2.053 Å, 2θ = 44.10°, rel. 24
1.735 Å, 2θ = 52.75°, rel. 14
1.505 Å, 2θ = 61.65°, rel. 19
1.365 Å, 2θ = 68.77°, rel. 21

---

[9]
Structure and simulated X-ray diffraction stick pattern of TbGd3Te2C2 (DFT lattice parameters and positions (PBE); a wavelength of 1.5418 Å).
Intensities are scaled so that the largest is 100.

Atomic structure:
Cell: 3.8718 3.8718 14.1852 Å, 90.00 90.00 120.00°
Positions (direct):
Tb (0.0000, 0.0000, 0.0000)
Gd (0.0000, 0.0000, 0.6885)
Gd (0.6667, 0.3333, 0.1875)
Gd (0.6667, 0.3333, 0.4999)
Te (0.0000, 0.0000, 0.3438)
Te (0.6667, 0.3333, 0.8450)
C (0.3333, 0.6667, 0.0933)
C (0.3333, 0.6667, 0.5942)

Top 8 peaks for 2θ from 10° to 80°, by angle:
3.353 Å, 2θ = 26.58°, rel. 26
2.735 Å, 2θ = 32.74°, rel. 100
2.364 Å, 2θ = 38.06°, rel. 13
1.935 Å, 2θ = 46.96°, rel. 38
1.580 Å, 2θ = 58.40°, rel. 19
1.498 Å, 2θ = 61.95°, rel. 19
1.426 Å, 2θ = 65.43°, rel. 11
1.224 Å, 2θ = 78.07°, rel. 16

---

[10]
Structure and simulated X-ray diffraction stick pattern of Y4CoC3 (DFT lattice parameters and positions (PBE); a wavelength of 1.5418 Å).
Intensities are scaled so that the largest is 100.

Atomic structure:
Cell: 3.5699 3.5699 25.7449 Å, 90.00 90.00 120.00°
Positions (direct):
Y (0.0000, 0.0000, 0.1685)
Y (0.0000, 0.0000, 0.3315)
Y (0.0000, 0.0000, 0.6685)
Y (0.0000, 0.0000, 0.8315)
Y (0.3333, 0.6667, 0.0579)
Y (0.3333, 0.6667, 0.4421)
Y (0.6667, 0.3333, 0.5579)
Y (0.6667, 0.3333, 0.9421)
Co (0.3333, 0.6667, 0.2500)
Co (0.6667, 0.3333, 0.7500)
C (0.0000, 0.0000, 0.0000)
C (0.0000, 0.0000, 0.5000)
C (0.3333, 0.6667, 0.6183)
C (0.3333, 0.6667, 0.8817)
C (0.6667, 0.3333, 0.1183)
C (0.6667, 0.3333, 0.3817)

Top 8 peaks for 2θ from 10° to 80°, by angle:
3.070 Å, 2θ = 29.09°, rel. 21
3.006 Å, 2θ = 29.72°, rel. 31
2.787 Å, 2θ = 32.12°, rel. 19
2.651 Å, 2θ = 33.82°, rel. 71
2.508 Å, 2θ = 35.80°, rel. 100
1.866 Å, 2θ = 48.80°, rel. 18
1.785 Å, 2θ = 51.18°, rel. 46
1.467 Å, 2θ = 63.41°, rel. 18

---

[11]
Structure and simulated X-ray diffraction stick pattern of SrZnSi2Os (DFT lattice parameters and positions (PBE); a wavelength of 1.5418 Å).
Intensities are scaled so that the largest is 100.

Atomic structure:
Cell: 6.0434 6.0434 6.0434 Å, 139.77 139.77 58.20°
Positions (direct):
Sr (0.0000, 0.0000, 0.0000)
Zn (0.2500, 0.7500, 0.5000)
Si (0.3750, 0.3750, 0.0000)
Si (0.6250, 0.6250, 0.0000)
Os (0.7500, 0.2500, 0.5000)

Top 8 peaks for 2θ from 10° to 80°, by angle:
5.281 Å, 2θ = 16.79°, rel. 36
3.868 Å, 2θ = 22.99°, rel. 36
2.686 Å, 2θ = 33.35°, rel. 28
2.568 Å, 2θ = 34.94°, rel. 100
2.078 Å, 2θ = 43.55°, rel. 36
1.964 Å, 2θ = 46.22°, rel. 19
1.510 Å, 2θ = 61.40°, rel. 19
1.276 Å, 2θ = 74.37°, rel. 22

---

[12]
Structure and simulated X-ray diffraction stick pattern of Nb6SI9 (DFT lattice parameters and positions (PBE); a wavelength of 1.5418 Å).
Intensities are scaled so that the largest is 100.

Atomic structure:
Cell: 10.3605 10.8322 12.0072 Å, 106.50 104.83 112.62°
Positions (direct):
Nb (0.0172, 0.3532, 0.4102)
Nb (0.1057, 0.4788, 0.6762)
Nb (0.2362, 0.6568, 0.5315)
Nb (0.3222, 0.9855, 0.9288)
Nb (0.3866, 0.7589, 0.9560)
Nb (0.4829, 0.0625, 0.1879)
Nb (0.5171, 0.9375, 0.8121)
Nb (0.6134, 0.2411, 0.0440)
Nb (0.6778, 0.0145, 0.0712)
Nb (0.7638, 0.3432, 0.4685)
Nb (0.8943, 0.5212, 0.3238)
Nb (0.9828, 0.6468, 0.5898)
S (0.2633, 0.7411, 0.7487)
S (0.7367, 0.2589, 0.2513)
I (0.0086, 0.9161, 0.7725)
I (0.1038, 0.8304, 0.4638)
I (0.1422, 0.5049, 0.2639)
I (0.1792, 0.8155, 0.0563)
I (0.2398, 0.4482, 0.9028)
I (0.3228, 0.4447, 0.5768)
I (0.3712, 0.2490, 0.1192)
I (0.4260, 0.1520, 0.7852)
I (0.4579, 0.1423, 0.4291)
I (0.5421, 0.8577, 0.5709)
I (0.5740, 0.8480, 0.2148)
I (0.6288, 0.7510, 0.8808)
I (0.6772, 0.5553, 0.4232)
I (0.7602, 0.5518, 0.0972)
I (0.8208, 0.1845, 0.9437)
I (0.8578, 0.4951, 0.7361)
I (0.8962, 0.1696, 0.5362)
I (0.9914, 0.0839, 0.2275)

Top 8 peaks for 2θ from 10° to 80°, by angle:
8.807 Å, 2θ = 10.04°, rel. 91
8.692 Å, 2θ = 10.18°, rel. 71
3.377 Å, 2θ = 26.40°, rel. 100
3.332 Å, 2θ = 26.76°, rel. 48
3.271 Å, 2θ = 27.27°, rel. 46
3.250 Å, 2θ = 27.44°, rel. 69
2.432 Å, 2θ = 36.95°, rel. 40
2.137 Å, 2θ = 42.30°, rel. 56

---

Copy entry 2 word for word.
Structure and simulated X-ray diffraction stick pattern of CuPt2S4 (DFT lattice parameters and positions (PBE); a wavelength of 1.5418 Å).
Intensities are scaled so that the largest is 100.

Atomic structure:
Cell: 6.2651 6.9796 6.4445 Å, 90.00 115.30 90.00°
Positions (direct):
Cu (0.1594, 0.0000, 0.3570)
Cu (0.8406, 0.0000, 0.6430)
Pt (0.0000, 0.5000, 0.0000)
Pt (0.5000, 0.2483, 0.0000)
Pt (0.5000, 0.5000, 0.5000)
Pt (0.5000, 0.7517, 0.0000)
S (0.2380, 0.5000, 0.7832)
S (0.2472, 0.0000, 0.7548)
S (0.2839, 0.2682, 0.2303)
S (0.2839, 0.7318, 0.2303)
S (0.7161, 0.2682, 0.7697)
S (0.7161, 0.7318, 0.7697)
S (0.7528, 0.0000, 0.2452)
S (0.7620, 0.5000, 0.2168)

Top 8 peaks for 2θ from 10° to 80°, by angle:
5.826 Å, 2θ = 15.21°, rel. 60
4.254 Å, 2θ = 20.88°, rel. 69
3.056 Å, 2θ = 29.22°, rel. 61
2.926 Å, 2θ = 30.56°, rel. 64
2.685 Å, 2θ = 33.38°, rel. 92
2.435 Å, 2θ = 36.91°, rel. 100
1.824 Å, 2θ = 50.02°, rel. 65
1.783 Å, 2θ = 51.22°, rel. 58

---

Repeat the ninth record exactly.
Structure and simulated X-ray diffraction stick pattern of TbGd3Te2C2 (DFT lattice parameters and positions (PBE); a wavelength of 1.5418 Å).
Intensities are scaled so that the largest is 100.

Atomic structure:
Cell: 3.8718 3.8718 14.1852 Å, 90.00 90.00 120.00°
Positions (direct):
Tb (0.0000, 0.0000, 0.0000)
Gd (0.0000, 0.0000, 0.6885)
Gd (0.6667, 0.3333, 0.1875)
Gd (0.6667, 0.3333, 0.4999)
Te (0.0000, 0.0000, 0.3438)
Te (0.6667, 0.3333, 0.8450)
C (0.3333, 0.6667, 0.0933)
C (0.3333, 0.6667, 0.5942)

Top 8 peaks for 2θ from 10° to 80°, by angle:
3.353 Å, 2θ = 26.58°, rel. 26
2.735 Å, 2θ = 32.74°, rel. 100
2.364 Å, 2θ = 38.06°, rel. 13
1.935 Å, 2θ = 46.96°, rel. 38
1.580 Å, 2θ = 58.40°, rel. 19
1.498 Å, 2θ = 61.95°, rel. 19
1.426 Å, 2θ = 65.43°, rel. 11
1.224 Å, 2θ = 78.07°, rel. 16